PrDy2Te2: theoretical powder diffractogram (Cu Ka), based on DFT lattice parameters and positions (GGA-PBE).
Intensities are scaled so that the largest is 100.

Structure:
```
data_PrDy2Te2
_chemical_formula_sum 'Pr2 Dy4 Te4'
_symmetry_space_group_name_H-M 'C 1 2/m 1'
_symmetry_Int_Tables_number 12
_cell_length_a 7.1454
_cell_length_b 6.0089
_cell_length_c 7.5129
_cell_angle_alpha 90.00
_cell_angle_beta 105.32
_cell_angle_gamma 90.00
loop_
_symmetry_equiv_pos_as_xyz
'x,y,z'
'-x,-y,-z'
'-x,y,-z'
'x,-y,z'
'x+1/2,y+1/2,z'
'-x+1/2,-y+1/2,-z'
'-x+1/2,y+1/2,-z'
'x+1/2,-y+1/2,z'
loop_
_atom_site_label
_atom_site_type_symbol
_atom_site_fract_x
_atom_site_fract_y
_atom_site_fract_z
Pr1 Pr 0.0000 0.0000 0.0000
Dy1 Dy 0.0000 0.2477 0.5000
Te1 Te 0.1695 0.5000 0.2142
```

Top 6 peaks for 2θ from 5° to 70°, in order of rising 2θ:
- 2θ = 24.93°, intensity 75
- 2θ = 30.72°, intensity 96
- 2θ = 32.25°, intensity 100
- 2θ = 34.28°, intensity 39
- 2θ = 38.94°, intensity 36
- 2θ = 39.57°, intensity 94